Theoretical powder diffractogram
Compound: K2FeIrO6
Radiation: Cu Kα X-rays
Structure: the PBE+U geometry in Alexandria
No peak broadening, texture or thermal motion is included.

Structural model:
a b c (Å): 6.0132 6.0132 5.1827
angles (deg): 90.00 90.00 120.00
Positions (direct):
K1 0.3333 0.6667 0.2165
K2 0.6667 0.3333 0.7835
Fe1 0.0000 0.0000 0.5000
Ir1 0.0000 0.0000 0.0000
O1 0.1450 0.2899 0.7669
O2 0.1450 0.8550 0.7669
O3 0.2899 0.1450 0.2331
O4 0.7101 0.8550 0.7669
O5 0.8550 0.1450 0.2331
O6 0.8550 0.7101 0.2331

Main lines, by intensity (2θ from 10° to 90°):
2theta, I/Imax, h k l
17.04, 100.0, 1 0 0
29.71, 35.8, 1 1 0
49.61, 26.0, 2 0 2
38.82, 24.8, 0 1 2
24.23, 22.8, 0 1 1
58.92, 19.3, 1 2 2